No. 1
The following is a theoretical PXRD pattern of Cs6Fe2O5. It was derived from DFT lattice parameters and positions (PBE+U), using Cu Kα (λ = 1.5418 Å).

Peak list (6 most intense, 5 to 70 degrees two-theta, by angle)
Position (°2θ)	I (rel.)	h k l
26.6	35	1 1 -2
27.6	81	2 2 0
27.9	100	0 2 2
28.5	49	0 4 0
35.2	39	2 2 -2
35.5	32	2 0 2

Atomic structure:
```
data_Cs6Fe2O5
_cell_length_a 7.576
_cell_length_b 12.527
_cell_length_c 7.483
_cell_angle_alpha 90.00
_cell_angle_beta 95.61
_cell_angle_gamma 90.00
_symmetry_space_group_name_H-M 'C 1 m 1'
_symmetry_Int_Tables_number 8
_symmetry_space_group_name_Hall 'C -2y'
loop_
_atom_site_label
_atom_site_type_symbol
_atom_site_fract_x
_atom_site_fract_y
_atom_site_fract_z
_atom_site_occupancy
Cs1 Cs 0.000 0.000 0.000 1
Cs2 Cs 0.150 0.256 0.311 1
Cs3 Cs 0.150 0.287 0.814 1
Cs4 Cs 0.289 0.000 0.630 1
Fe1 Fe 0.349 0.500 0.486 1
Fe2 Fe 0.460 0.000 0.118 1
O1 O 0.187 0.500 0.266 1
O2 O 0.350 0.131 0.038 1
O3 O 0.441 0.369 0.586 1
```

=====

No. 2
The following is a theoretical PXRD pattern of MgMn6O8F4. It was derived from DFT lattice parameters and positions (PBE+U), using Cu Kα (λ = 1.5418 Å).

Peak list (6 most intense, 5 to 70 degrees two-theta, by angle)
Position (°2θ)	I (rel.)	h k l
24.4	100	1 1 1
25.6	87	-1 1 1
34.3	32	2 0 0
34.5	26	1 1 -2
35.2	36	0 0 3
50.7	29	1 3 0

Atomic structure:
```
data_MgMn6O8F4
_cell_length_a 5.229
_cell_length_b 5.725
_cell_length_c 7.706
_cell_angle_alpha 82.37
_cell_angle_beta 88.63
_cell_angle_gamma 87.58
_symmetry_space_group_name_H-M 'P 1'
_symmetry_Int_Tables_number 1
_symmetry_space_group_name_Hall 'P 1'
loop_
_atom_site_label
_atom_site_type_symbol
_atom_site_fract_x
_atom_site_fract_y
_atom_site_fract_z
_atom_site_occupancy
Mg1 Mg 0.000 0.000 0.000 1
Mn1 Mn 0.003 0.424 0.228 1
Mn2 Mn 0.014 0.626 0.809 1
Mn3 Mn 0.024 0.993 0.512 1
Mn4 Mn 0.491 0.464 0.494 1
Mn5 Mn 0.510 0.796 0.138 1
Mn6 Mn 0.511 0.112 0.812 1
O1 O 0.181 0.676 0.583 1
O2 O 0.324 0.840 0.922 1
O3 O 0.334 0.527 0.252 1
O4 O 0.337 0.179 0.591 1
O5 O 0.642 0.094 0.045 1
O6 O 0.815 0.277 0.427 1
O7 O 0.860 0.940 0.741 1
O8 O 0.867 0.652 0.047 1
F1 F 0.135 0.027 0.247 1
F2 F 0.151 0.312 0.920 1
F3 F 0.667 0.431 0.745 1
F4 F 0.675 0.759 0.380 1
```

=====

No. 3
The following is a theoretical PXRD pattern of Mn4O7F. It was derived from DFT lattice parameters and positions (PBE+U), using Cu Kα (λ = 1.5418 Å).

Peak list (6 most intense, 5 to 70 degrees two-theta, by angle)
Position (°2θ)	I (rel.)	h k l
25.6	64	2 0 0
26.1	56	2 0 -2
31.4	98	2 2 0
31.8	100	2 2 -2
37.6	49	0 2 2
55.6	49	4 4 -2

Atomic structure:
```
data_Mn4O7F
_cell_length_a 8.882
_cell_length_b 9.917
_cell_length_c 6.970
_cell_angle_alpha 90.00
_cell_angle_beta 128.30
_cell_angle_gamma 90.00
_symmetry_space_group_name_H-M 'C 1 c 1'
_symmetry_Int_Tables_number 9
_symmetry_space_group_name_Hall 'C -2yc'
loop_
_atom_site_label
_atom_site_type_symbol
_atom_site_fract_x
_atom_site_fract_y
_atom_site_fract_z
_atom_site_occupancy
Mn1 Mn 0.000 0.001 0.000 1
Mn2 Mn 0.011 0.490 0.005 1
Mn3 Mn 0.148 0.247 0.297 1
Mn4 Mn 0.148 0.250 0.796 1
O1 O 0.006 0.087 0.753 1
O2 O 0.013 0.413 0.259 1
O3 O 0.129 0.164 0.530 1
O4 O 0.139 0.333 0.040 1
O5 O 0.245 0.418 0.757 1
O6 O 0.247 0.088 0.255 1
O7 O 0.403 0.335 0.539 1
F1 F 0.396 0.148 0.026 1
```

=====

No. 4
The following is a theoretical PXRD pattern of Li2TiFeO4. It was derived from DFT lattice parameters and positions (PBE+U), using Cu Kα (λ = 1.5418 Å).

Peak list (6 most intense, 5 to 70 degrees two-theta, by angle)
Position (°2θ)	I (rel.)	h k l
22.9	94	0 1 0
24.3	100	1 0 0
36.6	32	-1 1 1
40.3	57	0 0 2
41.9	53	0 2 -1
45.2	46	2 0 -1

Atomic structure:
```
data_Li2TiFeO4
_cell_length_a 4.010
_cell_length_b 4.309
_cell_length_c 5.348
_cell_angle_alpha 113.56
_cell_angle_beta 111.98
_cell_angle_gamma 90.14
_symmetry_space_group_name_H-M 'P 1'
_symmetry_Int_Tables_number 1
_symmetry_space_group_name_Hall 'P 1'
loop_
_atom_site_label
_atom_site_type_symbol
_atom_site_fract_x
_atom_site_fract_y
_atom_site_fract_z
_atom_site_occupancy
Li1 Li 0.000 0.000 0.000 1
Li2 Li 0.284 0.812 0.576 1
Ti1 Ti 0.727 0.293 0.482 1
Fe1 Fe 0.505 0.502 0.008 1
O1 O 0.250 0.251 0.494 1
O2 O 0.528 0.020 0.052 1
O3 O 0.746 0.729 0.495 1
O4 O 0.961 0.448 0.917 1
```

=====

No. 5
The following is a theoretical PXRD pattern of BaSrPrVO6. It was derived from DFT lattice parameters and positions (PBE+U), using Cu Kα (λ = 1.5418 Å).

Peak list (6 most intense, 5 to 70 degrees two-theta, by angle)
Position (°2θ)	I (rel.)	h k l
29.8	25	1 1 -2
30.0	100	-1 1 2
30.3	24	1 1 2
43.0	29	0 0 4
53.0	31	0 2 -4
53.5	15	1 3 2

Atomic structure:
```
data_BaSrPrVO6
_cell_length_a 5.962
_cell_length_b 5.966
_cell_length_c 8.426
_cell_angle_alpha 90.54
_cell_angle_beta 90.70
_cell_angle_gamma 90.28
_symmetry_space_group_name_H-M 'P -1'
_symmetry_Int_Tables_number 2
_symmetry_space_group_name_Hall '-P 1'
loop_
_atom_site_label
_atom_site_type_symbol
_atom_site_fract_x
_atom_site_fract_y
_atom_site_fract_z
_atom_site_occupancy
Ba1 Ba 0.019 0.004 0.250 1
Sr1 Sr 0.467 0.506 0.745 1
Pr1 Pr 0.000 0.500 0.000 1
Pr2 Pr 0.500 0.000 0.500 1
V1 V 0.000 0.500 0.500 1
V2 V 0.500 0.000 0.000 1
O1 O 0.029 0.447 0.724 1
O2 O 0.198 0.750 0.525 1
O3 O 0.250 0.802 0.967 1
O4 O 0.260 0.310 0.464 1
O5 O 0.303 0.251 0.040 1
O6 O 0.500 0.074 0.776 1
```

=====

No. 6
The following is a theoretical PXRD pattern of Pr2FeAs2RuO2. It was derived from DFT lattice parameters and positions (PBE+U), using Cu Kα (λ = 1.5418 Å).

Peak list (6 most intense, 5 to 70 degrees two-theta, by angle)
Position (°2θ)	I (rel.)	h k l
29.7	100	1 0 2
32.8	26	1 1 1
37.2	31	1 1 2
44.7	37	2 0 0
51.8	35	1 1 4
54.6	40	2 1 2

Atomic structure:
```
data_Pr2FeAs2RuO2
_cell_length_a 4.051
_cell_length_b 4.051
_cell_length_c 8.973
_cell_angle_alpha 90.00
_cell_angle_beta 90.00
_cell_angle_gamma 90.00
_symmetry_space_group_name_H-M 'P -4 m 2'
_symmetry_Int_Tables_number 115
_symmetry_space_group_name_Hall 'P -4 -2'
loop_
_atom_site_label
_atom_site_type_symbol
_atom_site_fract_x
_atom_site_fract_y
_atom_site_fract_z
_atom_site_occupancy
Pr1 Pr 0.000 0.500 0.135 1
Fe1 Fe 0.500 0.500 0.500 1
As1 As 0.000 0.500 0.669 1
Ru1 Ru 0.000 0.000 0.500 1
O1 O 0.000 0.000 0.000 1
O2 O 0.500 0.500 0.000 1
```

=====

No. 7
The following is a theoretical PXRD pattern of Li4Fe2O5. It was derived from DFT lattice parameters and positions (PBE+U), using Cu Kα (λ = 1.5418 Å).

Peak list (6 most intense, 5 to 70 degrees two-theta, by angle)
Position (°2θ)	I (rel.)	h k l
16.2	100	0 0 2
22.7	34	0 1 2
25.3	45	2 0 0
28.5	56	2 1 -2
36.8	23	1 2 1
41.3	24	2 2 0

Atomic structure:
```
data_Li4Fe2O5
_cell_length_a 7.764
_cell_length_b 5.591
_cell_length_c 12.097
_cell_angle_alpha 90.00
_cell_angle_beta 115.11
_cell_angle_gamma 90.00
_symmetry_space_group_name_H-M 'P 1 21/c 1'
_symmetry_Int_Tables_number 14
_symmetry_space_group_name_Hall '-P 2ybc'
loop_
_atom_site_label
_atom_site_type_symbol
_atom_site_fract_x
_atom_site_fract_y
_atom_site_fract_z
_atom_site_occupancy
Li1 Li 0.076 0.107 0.103 1
Li2 Li 0.199 0.549 0.020 1
Li3 Li 0.330 0.063 0.987 1
Li4 Li 0.357 0.567 0.885 1
Fe1 Fe 0.060 0.629 0.199 1
Fe2 Fe 0.496 0.217 0.795 1
O1 O 0.080 0.679 0.838 1
O2 O 0.081 0.220 0.950 1
O3 O 0.298 0.533 0.201 1
O4 O 0.326 0.020 0.215 1
O5 O 0.473 0.748 0.041 1
```